CeAlZn2Au4: calculated X-ray diffraction stick pattern (Cu Kα), based on a crystal structure in Alexandria, relaxed with GGA-PBE.
Peak positions follow from Bragg's law for the DFT cell and can differ from measured ones.

Largest 10 diffraction maxima, sorted by position, 2θ from 10° to 90°:
| (hkl) | 2θ (°) | d_spacing | intensity |
| --- | --- | --- | --- |
| 1 0 4 | 26.64 | 3.347 | 40 |
| 0 1 5 | 28.55 | 3.127 | 22 |
| 1 0 7 | 33.15 | 2.702 | 40 |
| 0 1 8 | 35.76 | 2.511 | 78 |
| 1 1 0 | 40.18 | 2.244 | 100 |
| 0 1 11 | 44.47 | 2.037 | 22 |
| 2 0 8 | 54.86 | 1.673 | 23 |
| 1 1 15 | 67.80 | 1.382 | 26 |
| 1 2 8 | 70.15 | 1.342 | 22 |
| 3 0 0 | 73.02 | 1.296 | 17 |

Cell and atoms:
```
data_CeAlZn2Au4
_chemical_formula_sum 'Ce3 Al3 Zn6 Au12'
_symmetry_space_group_name_H-M 'R -3 m'
_symmetry_Int_Tables_number 166
_symmetry_space_group_name_Hall '-R 3 2"'
_cell_length_a 4.4887
_cell_length_b 4.4887
_cell_length_c 26.3149
_cell_angle_alpha 90.00
_cell_angle_beta 90.00
_cell_angle_gamma 120.00
loop_
_atom_site_label
_atom_site_fract_x
_atom_site_fract_y
_atom_site_fract_z
Ce1 0.0000 0.0000 0.0000
Al1 0.0000 0.0000 0.5000
Zn1 0.0000 0.0000 0.2464
Au1 0.0000 0.0000 0.1339
Au2 0.0000 0.0000 0.3976
```

***

AlAuCl5: calculated X-ray diffraction stick pattern (Cu Kα), based on a crystal structure in Alexandria, relaxed with GGA-PBE.
Peak positions follow from Bragg's law for the DFT cell and can differ from measured ones.

Largest 10 diffraction maxima, sorted by position, 2θ from 10° to 90°:
| (hkl) | 2θ (°) | d_spacing | intensity |
| --- | --- | --- | --- |
| 1 0 0 | 12.44 | 7.116 | 100 |
| 1 1 0 | 17.63 | 5.030 | 61 |
| 0 1 2 | 22.11 | 4.021 | 33 |
| 2 0 0 | 25.03 | 3.558 | 17 |
| -1 1 2 | 27.79 | 3.210 | 28 |
| 1 2 0 | 28.05 | 3.181 | 39 |
| 1 2 2 | 29.62 | 3.016 | 26 |
| 0 2 -2 | 36.81 | 2.442 | 17 |
| 3 0 0 | 37.93 | 2.372 | 14 |
| -1 2 4 | 49.79 | 1.831 | 15 |

Cell and atoms:
```
data_AlAuCl5
_chemical_formula_sum 'Al2 Au2 Cl10'
_symmetry_space_group_name_H-M 'P -1'
_symmetry_Int_Tables_number 2
_symmetry_space_group_name_Hall '-P 1'
_cell_length_a 7.3182
_cell_length_b 7.3289
_cell_length_c 8.8098
_cell_angle_alpha 76.31
_cell_angle_beta 76.37
_cell_angle_gamma 86.94
loop_
_atom_site_label
_atom_site_fract_x
_atom_site_fract_y
_atom_site_fract_z
Al1 0.1756 0.3251 0.2501
Au1 0.5000 0.0000 0.0000
Au2 0.5000 0.0000 0.5000
Cl1 0.0757 0.7154 0.5695
Cl2 0.1849 0.0753 0.1441
Cl3 0.2144 0.5774 0.0710
Cl4 0.3952 0.1063 0.7496
Cl5 0.4272 0.3149 0.3545
```

***

Al2TlAuCl8: calculated X-ray diffraction stick pattern (Cu Kα), based on a crystal structure in Alexandria, relaxed with GGA-PBE.
Peak positions follow from Bragg's law for the DFT cell and can differ from measured ones.

Largest 10 diffraction maxima, sorted by position, 2θ from 10° to 90°:
| (hkl) | 2θ (°) | d_spacing | intensity |
| --- | --- | --- | --- |
| 1 0 0 | 14.29 | 6.197 | 100 |
| 1 0 2 | 24.36 | 3.653 | 56 |
| 1 1 0 | 24.88 | 3.578 | 43 |
| 1 1 2 | 31.89 | 2.806 | 52 |
| 2 0 2 | 35.10 | 2.556 | 42 |
| 2 1 0 | 38.43 | 2.342 | 19 |
| 2 1 2 | 43.51 | 2.080 | 25 |
| 1 1 4 | 47.57 | 1.912 | 16 |
| 0 3 2 | 48.44 | 1.879 | 16 |
| 2 2 0 | 51.05 | 1.789 | 16 |

Cell and atoms:
```
data_Al2TlAuCl8
_chemical_formula_sum 'Al2 Tl1 Au1 Cl8'
_symmetry_space_group_name_H-M 'P -3 m 1'
_symmetry_Int_Tables_number 164
_symmetry_space_group_name_Hall '-P 3 2"'
_cell_length_a 7.1561
_cell_length_b 7.1561
_cell_length_c 9.0460
_cell_angle_alpha 90.00
_cell_angle_beta 90.00
_cell_angle_gamma 120.00
loop_
_atom_site_label
_atom_site_fract_x
_atom_site_fract_y
_atom_site_fract_z
Al1 0.3333 0.6667 0.2171
Tl1 0.0000 0.0000 0.0000
Au1 0.0000 0.0000 0.5000
Cl1 0.1675 0.3350 0.2953
Cl2 0.3333 0.6667 0.9809
```

***

AlCo2Au: calculated X-ray diffraction stick pattern (Cu Kα), based on a crystal structure in Alexandria, relaxed with GGA-PBE.
Peak positions follow from Bragg's law for the DFT cell and can differ from measured ones.

Largest 10 diffraction maxima, sorted by position, 2θ from 10° to 90°:
| (hkl) | 2θ (°) | d_spacing | intensity |
| --- | --- | --- | --- |
| 0 0 2 | 24.09 | 3.694 | 24 |
| 1 0 1 | 26.45 | 3.370 | 52 |
| 1 1 0 | 33.47 | 2.677 | 22 |
| 1 1 2 | 41.66 | 2.168 | 100 |
| 1 0 3 | 43.85 | 2.064 | 14 |
| 2 0 0 | 48.06 | 1.893 | 33 |
| 0 0 4 | 49.34 | 1.847 | 15 |
| 2 1 1 | 55.69 | 1.651 | 15 |
| 2 0 4 | 71.34 | 1.322 | 20 |
| 3 1 2 | 85.19 | 1.139 | 25 |

Cell and atoms:
```
data_AlCo2Au
_chemical_formula_sum 'Al2 Co4 Au2'
_symmetry_space_group_name_H-M 'I -4 m 2'
_symmetry_Int_Tables_number 119
_symmetry_space_group_name_Hall 'I -4 -2'
_cell_length_a 3.7864
_cell_length_b 3.7864
_cell_length_c 7.3880
_cell_angle_alpha 90.00
_cell_angle_beta 90.00
_cell_angle_gamma 90.00
loop_
_atom_site_label
_atom_site_fract_x
_atom_site_fract_y
_atom_site_fract_z
Al1 0.0000 0.0000 0.0000
Co1 0.0000 0.0000 0.5000
Co2 0.0000 0.5000 0.2500
Au1 0.0000 0.5000 0.7500
```

***

Al3CoAu: calculated X-ray diffraction stick pattern (Cu Kα), based on a crystal structure in Alexandria, relaxed with GGA-PBE.
Peak positions follow from Bragg's law for the DFT cell and can differ from measured ones.

Largest 10 diffraction maxima, sorted by position, 2θ from 10° to 90°:
| (hkl) | 2θ (°) | d_spacing | intensity |
| --- | --- | --- | --- |
| 1 0 0 | 19.92 | 4.456 | 23 |
| 1 1 0 | 28.32 | 3.151 | 100 |
| 1 1 1 | 34.87 | 2.573 | 34 |
| 2 0 0 | 40.49 | 2.228 | 41 |
| 2 1 0 | 45.52 | 1.993 | 13 |
| 2 1 1 | 50.14 | 1.819 | 42 |
| 2 2 0 | 58.59 | 1.576 | 28 |
| 3 1 0 | 66.33 | 1.409 | 18 |
| 3 1 1 | 70.03 | 1.344 | 14 |
| 3 2 1 | 80.68 | 1.191 | 21 |

Cell and atoms:
```
data_Al3CoAu
_chemical_formula_sum 'Al3 Co1 Au1'
_symmetry_space_group_name_H-M 'P m -3 m'
_symmetry_Int_Tables_number 221
_symmetry_space_group_name_Hall '-P 4 2 3'
_cell_length_a 4.4562
_cell_length_b 4.4562
_cell_length_c 4.4562
_cell_angle_alpha 90.00
_cell_angle_beta 90.00
_cell_angle_gamma 90.00
loop_
_atom_site_label
_atom_site_fract_x
_atom_site_fract_y
_atom_site_fract_z
Al1 0.0000 0.0000 0.5000
Co1 0.0000 0.0000 0.0000
Au1 0.5000 0.5000 0.5000
```

***

Al2CrAu2: calculated X-ray diffraction stick pattern (Cu Kα), based on a crystal structure in Alexandria, relaxed with GGA-PBE.
Peak positions follow from Bragg's law for the DFT cell and can differ from measured ones.

Largest 10 diffraction maxima, sorted by position, 2θ from 10° to 90°:
| (hkl) | 2θ (°) | d_spacing | intensity |
| --- | --- | --- | --- |
| 1 1 0 | 17.19 | 5.158 | 14 |
| 2 1 0 | 27.34 | 3.262 | 83 |
| 0 0 1 | 29.93 | 2.985 | 20 |
| 1 1 1 | 34.74 | 2.583 | 21 |
| 3 1 0 | 39.03 | 2.307 | 60 |
| 2 1 1 | 40.98 | 2.202 | 100 |
| 4 0 0 | 50.00 | 1.824 | 19 |
| 4 1 1 | 60.87 | 1.522 | 16 |
| 3 3 1 | 62.33 | 1.490 | 18 |
| 5 2 1 | 77.37 | 1.233 | 23 |

Cell and atoms:
```
data_Al2CrAu2
_chemical_formula_sum 'Al4 Cr2 Au4'
_symmetry_space_group_name_H-M 'P 4/m b m'
_symmetry_Int_Tables_number 127
_symmetry_space_group_name_Hall '-P 4 2ab'
_cell_length_a 7.2941
_cell_length_b 7.2941
_cell_length_c 2.9850
_cell_angle_alpha 90.00
_cell_angle_beta 90.00
_cell_angle_gamma 90.00
loop_
_atom_site_label
_atom_site_fract_x
_atom_site_fract_y
_atom_site_fract_z
Al1 0.1456 0.3544 0.0000
Cr1 0.0000 0.0000 0.0000
Au1 0.1548 0.6548 0.5000
```

***

AlCrAu14: calculated X-ray diffraction stick pattern (Cu Kα), based on a crystal structure in Alexandria, relaxed with GGA-PBE.
Peak positions follow from Bragg's law for the DFT cell and can differ from measured ones.

Largest 10 diffraction maxima, sorted by position, 2θ from 10° to 90°:
| (hkl) | 2θ (°) | d_spacing | intensity |
| --- | --- | --- | --- |
| 0 0 4 | 36.14 | 2.485 | 34 |
| 1 0 4 | 37.43 | 2.403 | 17 |
| 4 0 0 | 37.90 | 2.374 | 41 |
| 2 2 2 | 39.82 | 2.264 | 100 |
| 2 0 4 | 41.02 | 2.201 | 31 |
| 3 2 2 | 45.40 | 1.998 | 13 |
| 0 2 6 | 64.19 | 1.451 | 17 |
| 6 2 2 | 69.75 | 1.348 | 19 |
| 4 4 0 | 74.63 | 1.272 | 12 |
| 4 2 6 | 77.03 | 1.238 | 20 |

Cell and atoms:
```
data_AlCrAu14
_chemical_formula_sum 'Al2 Cr2 Au28'
_symmetry_space_group_name_H-M 'A m m 2'
_symmetry_Int_Tables_number 38
_symmetry_space_group_name_Hall 'A 2 -2'
_cell_length_a 9.4948
_cell_length_b 6.0248
_cell_length_c 9.9338
_cell_angle_alpha 90.00
_cell_angle_beta 90.00
_cell_angle_gamma 90.00
loop_
_atom_site_label
_atom_site_fract_x
_atom_site_fract_y
_atom_site_fract_z
Al1 0.0000 0.0000 0.0000
Cr1 0.0000 0.0000 0.4990
Au1 0.0000 0.2489 0.7540
Au2 0.2357 0.2457 0.0680
Au3 0.2491 0.0000 0.8191
Au4 0.2501 0.0000 0.3232
Au5 0.5000 0.0000 0.1468
Au6 0.5000 0.0000 0.6450
Au7 0.5000 0.2481 0.8990
```

***

Al2CrAu6: calculated X-ray diffraction stick pattern (Cu Kα), based on a crystal structure in Alexandria, relaxed with GGA-PBE.
Peak positions follow from Bragg's law for the DFT cell and can differ from measured ones.

Largest 10 diffraction maxima, sorted by position, 2θ from 10° to 90°:
| (hkl) | 2θ (°) | d_spacing | intensity |
| --- | --- | --- | --- |
| 0 2 0 | 19.04 | 4.661 | 10 |
| 1 1 3 | 28.70 | 3.110 | 46 |
| 0 0 6 | 38.51 | 2.338 | 28 |
| 2 0 0 | 38.66 | 2.329 | 40 |
| 1 3 3 | 39.85 | 2.262 | 100 |
| 2 0 6 | 55.71 | 1.650 | 26 |
| 0 6 0 | 59.48 | 1.554 | 9 |
| 1 3 9 | 70.56 | 1.335 | 18 |
| 3 3 3 | 70.78 | 1.331 | 19 |
| 2 6 6 | 85.93 | 1.131 | 10 |

Cell and atoms:
```
data_Al2CrAu6
_chemical_formula_sum 'Al8 Cr4 Au24'
_symmetry_space_group_name_H-M 'F m m m'
_symmetry_Int_Tables_number 69
_symmetry_space_group_name_Hall '-F 2 2'
_cell_length_a 4.6568
_cell_length_b 9.3222
_cell_length_c 14.0276
_cell_angle_alpha 90.00
_cell_angle_beta 90.00
_cell_angle_gamma 90.00
loop_
_atom_site_label
_atom_site_fract_x
_atom_site_fract_y
_atom_site_fract_z
Al1 0.0000 0.0000 0.1574
Cr1 0.0000 0.0000 0.5000
Au1 0.0000 0.1517 0.3285
Au2 0.0000 0.1612 0.0000
```

***

Cs2Al4Au: calculated X-ray diffraction stick pattern (Cu Kα), based on a crystal structure in Alexandria, relaxed with GGA-PBE.
Peak positions follow from Bragg's law for the DFT cell and can differ from measured ones.

Largest 10 diffraction maxima, sorted by position, 2θ from 10° to 90°:
| (hkl) | 2θ (°) | d_spacing | intensity |
| --- | --- | --- | --- |
| 1 0 1 | 18.15 | 4.889 | 11 |
| 1 0 3 | 21.89 | 4.060 | 100 |
| 1 1 0 | 25.03 | 3.558 | 43 |
| 0 0 6 | 25.92 | 3.437 | 24 |
| 2 0 0 | 35.68 | 2.516 | 26 |
| 1 1 6 | 36.34 | 2.472 | 24 |
| 2 1 3 | 42.26 | 2.139 | 36 |
| 1 0 9 | 43.39 | 2.085 | 23 |
| 2 0 6 | 44.63 | 2.030 | 22 |
| 2 1 9 | 57.39 | 1.606 | 20 |

Cell and atoms:
```
data_Cs2Al4Au
_chemical_formula_sum 'Cs4 Al8 Au2'
_symmetry_space_group_name_H-M 'I 4/m m m'
_symmetry_Int_Tables_number 139
_symmetry_space_group_name_Hall '-I 4 2'
_cell_length_a 5.0321
_cell_length_b 5.0321
_cell_length_c 20.6210
_cell_angle_alpha 90.00
_cell_angle_beta 90.00
_cell_angle_gamma 90.00
loop_
_atom_site_label
_atom_site_fract_x
_atom_site_fract_y
_atom_site_fract_z
Cs1 0.0000 0.0000 0.1712
Al1 0.0000 0.0000 0.3780
Al2 0.0000 0.5000 0.0000
Au1 0.0000 0.0000 0.5000
```

***

Cs2AlAuI6: calculated X-ray diffraction stick pattern (Cu Kα), based on a crystal structure in Alexandria, relaxed with GGA-PBE.
Peak positions follow from Bragg's law for the DFT cell and can differ from measured ones.

Largest 10 diffraction maxima, sorted by position, 2θ from 10° to 90°:
| (hkl) | 2θ (°) | d_spacing | intensity |
| --- | --- | --- | --- |
| 1 1 2 | 21.18 | 4.196 | 17 |
| 1 0 3 | 24.52 | 3.630 | 16 |
| 2 0 2 | 26.21 | 3.401 | 100 |
| 0 0 4 | 29.43 | 3.035 | 43 |
| 2 2 0 | 30.80 | 2.903 | 83 |
| 2 2 4 | 43.12 | 2.098 | 60 |
| 4 0 0 | 44.12 | 2.053 | 31 |
| 4 2 2 | 52.04 | 1.757 | 29 |
| 4 0 4 | 53.92 | 1.700 | 31 |
| 6 2 4 | 80.46 | 1.194 | 20 |

Cell and atoms:
```
data_Cs2AlAuI6
_chemical_formula_sum 'Cs4 Al2 Au2 I12'
_symmetry_space_group_name_H-M 'I 4/m m m'
_symmetry_Int_Tables_number 139
_symmetry_space_group_name_Hall '-I 4 2'
_cell_length_a 8.2108
_cell_length_b 8.2108
_cell_length_c 12.1401
_cell_angle_alpha 90.00
_cell_angle_beta 90.00
_cell_angle_gamma 90.00
loop_
_atom_site_label
_atom_site_fract_x
_atom_site_fract_y
_atom_site_fract_z
Cs1 0.0000 0.5000 0.2500
Al1 0.0000 0.0000 0.0000
Au1 0.0000 0.0000 0.5000
I1 0.0000 0.0000 0.2242
I2 0.2495 0.2495 0.0000
```

***

Al7CuAu12: calculated X-ray diffraction stick pattern (Cu Kα), based on a crystal structure in Alexandria, relaxed with GGA-PBE.
Peak positions follow from Bragg's law for the DFT cell and can differ from measured ones.

Largest 10 diffraction maxima, sorted by position, 2θ from 10° to 90°:
| (hkl) | 2θ (°) | d_spacing | intensity |
| --- | --- | --- | --- |
| 3 -1 1 | 23.63 | 3.765 | 30 |
| 4 -3 1 | 29.60 | 3.018 | 100 |
| 4 0 1 | 32.20 | 2.780 | 38 |
| 3 1 2 | 38.64 | 2.330 | 75 |
| 2 4 1 | 41.16 | 2.193 | 21 |
| 5 -3 2 | 42.73 | 2.116 | 19 |
| 1 1 3 | 44.64 | 2.030 | 17 |
| 5 2 0 | 45.82 | 1.980 | 33 |
| 0 3 3 | 48.33 | 1.883 | 19 |
| 7 1 3 | 73.03 | 1.296 | 22 |

Cell and atoms:
```
data_Al7CuAu12
_chemical_formula_sum 'Al21 Cu3 Au36'
_symmetry_space_group_name_H-M 'R -3'
_symmetry_Int_Tables_number 148
_symmetry_space_group_name_Hall '-R 3'
_cell_length_a 14.2794
_cell_length_b 14.2794
_cell_length_c 6.3522
_cell_angle_alpha 90.00
_cell_angle_beta 90.00
_cell_angle_gamma 120.00
loop_
_atom_site_label
_atom_site_fract_x
_atom_site_fract_y
_atom_site_fract_z
Al1 0.0000 0.0000 0.0000
Al2 0.1054 0.2115 0.3669
Cu1 0.0000 0.0000 0.5000
Au1 0.0215 0.4161 0.7616
Au2 0.0842 0.1824 0.7826
```

***

Al2Cu3Au: calculated X-ray diffraction stick pattern (Cu Kα), based on a crystal structure in Alexandria, relaxed with GGA-PBE.
Peak positions follow from Bragg's law for the DFT cell and can differ from measured ones.

Largest 10 diffraction maxima, sorted by position, 2θ from 10° to 90°:
| (hkl) | 2θ (°) | d_spacing | intensity |
| --- | --- | --- | --- |
| 0 0 2 | 15.18 | 5.836 | 65 |
| 1 1 -2 | 26.24 | 3.396 | 69 |
| 0 0 4 | 30.64 | 2.918 | 21 |
| 2 0 -2 | 34.47 | 2.602 | 49 |
| 2 0 2 | 40.97 | 2.203 | 100 |
| 0 2 3 | 41.04 | 2.199 | 100 |
| 0 0 6 | 46.70 | 1.945 | 33 |
| 2 2 -1 | 48.21 | 1.887 | 63 |
| 2 2 5 | 69.31 | 1.356 | 20 |
| 2 4 2 | 85.00 | 1.141 | 23 |

Cell and atoms:
```
data_Al2Cu3Au
_chemical_formula_sum 'Al8 Cu12 Au4'
_symmetry_space_group_name_H-M 'C 1 2/c 1'
_symmetry_Int_Tables_number 15
_symmetry_space_group_name_Hall '-C 2yc'
_cell_length_a 5.3450
_cell_length_b 5.3323
_cell_length_c 11.9669
_cell_angle_alpha 90.00
_cell_angle_beta 102.77
_cell_angle_gamma 90.00
loop_
_atom_site_label
_atom_site_fract_x
_atom_site_fract_y
_atom_site_fract_z
Al1 0.1689 0.1250 0.0873
Cu1 0.0000 0.3744 0.2500
Cu2 0.1621 0.3756 0.5732
Au1 0.0000 0.1254 0.7500
```

***

AlCuAu5: calculated X-ray diffraction stick pattern (Cu Kα), based on a crystal structure in Alexandria, relaxed with GGA-PBE.
Peak positions follow from Bragg's law for the DFT cell and can differ from measured ones.

Largest 10 diffraction maxima, sorted by position, 2θ from 10° to 90°:
| (hkl) | 2θ (°) | d_spacing | intensity |
| --- | --- | --- | --- |
| 2 0 0 | 24.37 | 3.653 | 19 |
| 2 0 2 | 29.51 | 3.026 | 26 |
| 0 2 1 | 29.96 | 2.982 | 18 |
| 0 2 3 | 38.30 | 2.350 | 100 |
| 2 2 1 | 38.99 | 2.310 | 69 |
| 3 1 0 | 39.76 | 2.267 | 32 |
| 2 0 4 | 41.57 | 2.173 | 64 |
| 3 1 3 | 47.38 | 1.919 | 22 |
| 3 3 4 | 68.97 | 1.362 | 19 |
| 2 2 7 | 73.20 | 1.293 | 21 |

Cell and atoms:
```
data_AlCuAu5
_chemical_formula_sum 'Al4 Cu4 Au20'
_symmetry_space_group_name_H-M 'C m c m'
_symmetry_Int_Tables_number 63
_symmetry_space_group_name_Hall '-C 2c 2'
_cell_length_a 7.3057
_cell_length_b 6.2051
_cell_length_c 10.8101
_cell_angle_alpha 90.00
_cell_angle_beta 90.00
_cell_angle_gamma 90.00
loop_
_atom_site_label
_atom_site_fract_x
_atom_site_fract_y
_atom_site_fract_z
Al1 0.0000 0.0000 0.0000
Cu1 0.0000 0.3621 0.2500
Au1 0.0000 0.0548 0.7500
Au2 0.1993 0.3632 0.6103
```

***

Al2Cu4Au3: calculated X-ray diffraction stick pattern (Cu Kα), based on a crystal structure in Alexandria, relaxed with GGA-PBE.
Peak positions follow from Bragg's law for the DFT cell and can differ from measured ones.

Largest 10 diffraction maxima, sorted by position, 2θ from 10° to 90°:
| (hkl) | 2θ (°) | d_spacing | intensity |
| --- | --- | --- | --- |
| 0 1 0 | 21.33 | 4.165 | 62 |
| 1 0 1 | 24.90 | 3.576 | 60 |
| 1 1 2 | 29.66 | 3.012 | 56 |
| 1 1 -1 | 30.12 | 2.967 | 47 |
| 1 2 2 | 40.03 | 2.252 | 91 |
| 0 0 3 | 40.11 | 2.248 | 92 |
| 2 1 0 | 40.65 | 2.220 | 100 |
| 1 -1 1 | 40.79 | 2.212 | 87 |
| -1 1 2 | 43.85 | 2.065 | 70 |
| 1 2 -1 | 45.64 | 1.988 | 61 |

Cell and atoms:
```
data_Al2Cu4Au3
_chemical_formula_sum 'Al2 Cu4 Au3'
_symmetry_space_group_name_H-M 'P -1'
_symmetry_Int_Tables_number 2
_symmetry_space_group_name_Hall '-P 1'
_cell_length_a 4.5459
_cell_length_b 4.8423
_cell_length_c 7.1113
_cell_angle_alpha 72.02
_cell_angle_beta 78.08
_cell_angle_gamma 62.54
loop_
_atom_site_label
_atom_site_fract_x
_atom_site_fract_y
_atom_site_fract_z
Al1 0.2299 0.0384 0.3220
Cu1 0.1129 0.2728 0.6632
Cu2 0.3210 0.8603 0.9962
Au1 0.0000 0.5000 0.0000
Au2 0.4496 0.6299 0.6682
```